For Rb8In11, DFT lattice parameters and positions (PBE) gives the theoretical X-ray diffraction stick pattern in this record (Cu Kα).
Kinematic intensities with the Lorentz-polarization factor, no thermal factor.

Atomic structure:
```
38
Lattice="5.182 2.992 17.608 -5.182 2.992 17.608 0.000 -5.984 17.608" Properties=species:S:1:pos:R:3 pbc="T T T"
Rb 0.000 0.000 4.199
Rb -2.908 0.326 18.759
Rb -2.275 -2.666 27.563
Rb -3.446 0.637 25.261
Rb 1.171 -2.681 18.759
Rb -1.736 -2.355 34.065
Rb 1.171 -3.303 25.261
Rb 0.000 0.000 22.214
Rb 0.000 0.000 30.611
Rb -1.171 3.303 27.563
Rb 1.736 2.355 18.759
Rb -1.171 2.681 34.066
Rb 3.446 -0.637 27.563
Rb 2.275 2.666 25.261
Rb 2.908 -0.326 34.066
Rb 0.000 0.000 48.626
In 2.939 -0.071 38.039
In -2.939 0.071 14.786
In -1.069 -1.851 13.206
In -2.244 -2.921 23.590
In 0.000 0.000 10.623
In -3.652 0.482 29.235
In -1.069 1.851 13.206
In 1.408 -2.581 14.786
In 0.000 0.000 15.789
In -1.531 -2.510 38.039
In 2.138 0.000 13.206
In 1.408 -3.404 29.235
In -1.408 3.404 23.590
In -2.138 0.000 39.619
In 1.531 2.510 14.786
In 0.000 0.000 37.036
In -1.408 2.581 38.039
In 1.069 -1.851 39.619
In 3.652 -0.482 23.590
In 0.000 0.000 42.202
In 2.244 2.921 29.235
In 1.069 1.851 39.619
```

Top 10 peaks for 10° ≤ 2θ ≤ 90°, by angle:
2θ = 10.05°, intensity 34; 2θ = 10.41°, intensity 83; 2θ = 11.92°, intensity 22; 2θ = 23.97°, intensity 28; 2θ = 26.05°, intensity 21; 2θ = 29.60°, intensity 24; 2θ = 29.86°, intensity 70; 2θ = 30.69°, intensity 100; 2θ = 31.34°, intensity 18; 2θ = 34.44°, intensity 21